[1]
TmNiB: simulated powder XRD pattern (CuKα), based on the GGA-PBE geometry in Alexandria.
Neutral-atom scattering factors, no anomalous dispersion.

Structure:
```
data_TmNiB
_chemical_formula_sum 'Tm1 Ni1 B1'
_space_group_name_H-M_alt 'P -6 m 2'
_space_group_IT_number 187
_space_group_name_Hall 'P -6 2'
_cell_length_a 3.6490
_cell_length_b 3.6490
_cell_length_c 3.7089
_cell_angle_alpha 90.00
_cell_angle_beta 90.00
_cell_angle_gamma 120.00
loop_
_atom_site_label
_atom_site_type_symbol
_atom_site_fract_x
_atom_site_fract_y
_atom_site_fract_z
_atom_site_occupancy
Tm1 Tm 0.0000 0.0000 0.0000 1
Ni1 Ni 0.6667 0.3333 0.5000 1
B1 B 0.3333 0.6667 0.5000 1
```

Top 6 peaks for 2θ from 5° to 70°, by angle:
- 2θ 24.0, intensity 10.0, (0 0 1)
- 2θ 28.2, intensity 46.0, (1 0 0)
- 2θ 37.4, intensity 100.0, (1 0 1)
- 2θ 50.0, intensity 28.1, (1 1 0)
- 2θ 57.6, intensity 13.1, (1 0 2)
- 2θ 64.1, intensity 20.3, (2 0 1)


[2]
Hg11Bi: simulated powder XRD pattern (CuKα), based on the GGA-PBE geometry in Alexandria.
Neutral-atom scattering factors, no anomalous dispersion.

Structure:
```
data_Hg11Bi
_chemical_formula_sum 'Hg11 Bi1'
_space_group_name_H-M_alt 'P 6/m m m'
_space_group_IT_number 191
_space_group_name_Hall '-P 6 2'
_cell_length_a 11.1083
_cell_length_b 11.1083
_cell_length_c 3.1455
_cell_angle_alpha 90.00
_cell_angle_beta 90.00
_cell_angle_gamma 120.00
loop_
_atom_site_label
_atom_site_type_symbol
_atom_site_fract_x
_atom_site_fract_y
_atom_site_fract_z
_atom_site_occupancy
Hg1 Hg 0.0000 0.5000 0.0000 1
Hg2 Hg 0.1671 0.3342 0.5000 1
Hg3 Hg 0.3333 0.6667 0.0000 1
Bi1 Bi 0.0000 0.0000 0.0000 1
```

Top 6 peaks for 2θ from 5° to 70°, by angle:
- 2θ 32.2, intensity 100.0, (2 2 0)
- 2θ 32.7, intensity 21.6, (1 1 1)
- 2θ 34.1, intensity 43.6, (2 0 1)
- 2θ 57.5, intensity 19.8, (6 0 0)
- 2θ 58.7, intensity 25.0, (0 0 2)
- 2θ 68.6, intensity 23.7, (2 2 2)


[3]
TbTi2O5: simulated powder XRD pattern (CuKα), based on the GGA-PBE geometry in Alexandria.
Neutral-atom scattering factors, no anomalous dispersion.

Structure:
```
data_TbTi2O5
_chemical_formula_sum 'Tb2 Ti4 O10'
_space_group_name_H-M_alt 'P m m n'
_space_group_IT_number 59
_cell_length_a 3.551
_cell_length_b 11.924
_cell_length_c 4.954
_cell_angle_alpha 90.00
_cell_angle_beta 90.00
_cell_angle_gamma 90.00
loop_
_space_group_symop_operation_xyz
'x,y,z'
'-x,-y,-z'
'-x+1/2,-y+1/2,z'
'x+1/2,y+1/2,-z'
'x+1/2,-y,-z'
'-x+1/2,y,z'
'-x,y+1/2,-z'
'x,-y+1/2,z'
loop_
_atom_site_label
_atom_site_type_symbol
_atom_site_fract_x
_atom_site_fract_y
_atom_site_fract_z
_atom_site_occupancy
Tb1 Tb 0.250 0.250 0.123 1
Ti1 Ti 0.250 0.595 0.421 1
O1 O 0.250 0.080 0.415 1
O2 O 0.250 0.637 0.076 1
O3 O 0.250 0.750 0.575 1
```

Top 6 peaks for 2θ from 5° to 70°, by angle:
- 2θ 14.9, intensity 97.2, (0 2 0)
- 2θ 23.3, intensity 100.0, (0 2 1)
- 2θ 31.0, intensity 72.2, (1 0 1)
- 2θ 31.9, intensity 76.5, (1 1 1)
- 2θ 33.8, intensity 82.3, (1 3 0)
- 2θ 47.3, intensity 63.2, (1 2 2)